Starting from a structure optimized by DFT (PBE), the PXRD pattern of Y5Hg4Pt was simulated for Cu Kα (λ = 1.5418 Å).
Neutral-atom scattering factors, no anomalous dispersion.

Peak list (12 most intense, 10° ≤ 2θ ≤ 90°, by angle)
index, 2theta, d (Å), Rel. int.
0 0 5, 23.98, 3.711, 9
1 0 0, 24.28, 3.666, 16
1 0 5, 34.38, 2.608, 100
1 1 0, 34.60, 2.592, 51
1 1 5, 42.54, 2.125, 9
0 0 10, 49.09, 1.856, 8
2 0 0, 49.74, 1.833, 18
1 1 10, 61.45, 1.509, 17
2 1 5, 61.87, 1.500, 37
2 0 10, 72.48, 1.304, 11
3 0 5, 83.24, 1.161, 8
3 1 0, 83.37, 1.159, 8

```
data_Y5Hg4Pt
_chemical_formula_sum 'Y5 Hg4 Pt1'
_cell_length_a 3.6659
_cell_length_b 3.6659
_cell_length_c 18.5570
_cell_angle_alpha 90.00
_cell_angle_beta 90.00
_cell_angle_gamma 90.00
_space_group_name_H-M_alt 'P 4/m m m'
_space_group_IT_number 123
_space_group_name_Hall '-P 4 2'
loop_
_atom_site_label
_atom_site_type_symbol
_atom_site_fract_x
_atom_site_fract_y
_atom_site_fract_z
_atom_site_occupancy
Y1 Y 0.0000 0.0000 0.0000 1
Y2 Y 0.0000 0.0000 0.2056 1
Y3 Y 0.0000 0.0000 0.4116 1
Hg1 Hg 0.5000 0.5000 0.1024 1
Hg2 Hg 0.5000 0.5000 0.3048 1
Pt1 Pt 0.5000 0.5000 0.5000 1
```